# 1
Simulated X-ray diffraction stick pattern of MgNbCrO4 for Cu Kα, from a crystal structure in the Materials Project, relaxed with GGA+U.
No peak broadening, texture or thermal motion is included.

Atomic structure:
```
data_MgNbCrO4
_chemical_formula_sum 'Mg1 Nb1 Cr1 O4'
_cell_length_a 5.438
_cell_length_b 3.048
_cell_length_c 5.701
_cell_angle_alpha 90.00
_cell_angle_beta 107.91
_cell_angle_gamma 90.00
_space_group_name_H-M_alt 'P 1 2/m 1'
_space_group_IT_number 10
_space_group_name_Hall '-P 2y'
loop_
_atom_site_label
_atom_site_type_symbol
_atom_site_fract_x
_atom_site_fract_y
_atom_site_fract_z
Mg1 Mg 0.000 0.000 0.000
Nb1 Nb 0.500 0.500 0.000
Cr1 Cr 0.000 0.000 0.500
O1 O 0.100 0.500 0.771
O2 O 0.385 0.000 0.183
```

The 6 most intense peaks (2θ from 10° to 90°), by angle:
h k l  d (Å)  2θ/deg  I_rel
0 0 1  5.425  16.34  69
1 0 -1  4.498  19.74  100
1 0 1  3.275  27.23  46
1 1 0  2.626  34.14  43
2 0 0  2.587  34.67  49
1 1 -2  2.054  44.10  75

# 2
Simulated X-ray diffraction stick pattern of MgFe2O2F2 for Cu Kα, from a crystal structure in the Materials Project, relaxed with GGA+U.
No peak broadening, texture or thermal motion is included.

Atomic structure:
```
data_MgFe2O2F2
_chemical_formula_sum 'Mg1 Fe2 O2 F2'
_cell_length_a 5.474
_cell_length_b 3.138
_cell_length_c 5.533
_cell_angle_alpha 90.00
_cell_angle_beta 92.58
_cell_angle_gamma 90.00
_space_group_name_H-M_alt 'P 1 m 1'
_space_group_IT_number 6
_space_group_name_Hall 'P -2y'
loop_
_atom_site_label
_atom_site_type_symbol
_atom_site_fract_x
_atom_site_fract_y
_atom_site_fract_z
Mg1 Mg 0.000 0.000 0.000
Fe1 Fe 0.465 0.000 0.245
Fe2 Fe 0.981 0.500 0.488
O1 O 0.241 0.500 0.179
O2 O 0.811 0.000 0.308
F1 F 0.173 0.000 0.683
F2 F 0.821 0.500 0.847
```

The 6 most intense peaks (2θ from 10° to 90°), by angle:
h k l  d (Å)  2θ/deg  I_rel
0 0 1  5.527  16.03  89
1 0 0  5.468  16.21  57
2 0 0  2.731  32.79  69
1 0 -2  2.513  35.74  87
1 1 1  2.421  37.14  100
2 1 1  1.910  47.60  66

# 3
Simulated X-ray diffraction stick pattern of Ba2LiNi2O6 for Cu Kα, from a crystal structure in the Materials Project, relaxed with GGA+U.
No peak broadening, texture or thermal motion is included.

Atomic structure:
```
data_Ba2LiNi2O6
_chemical_formula_sum 'Ba4 Li2 Ni4 O12'
_cell_length_a 10.613
_cell_length_b 5.752
_cell_length_c 5.073
_cell_angle_alpha 90.00
_cell_angle_beta 104.62
_cell_angle_gamma 90.00
_space_group_name_H-M_alt 'C 1 m 1'
_space_group_IT_number 8
_space_group_name_Hall 'C -2y'
loop_
_atom_site_label
_atom_site_type_symbol
_atom_site_fract_x
_atom_site_fract_y
_atom_site_fract_z
Ba1 Ba 0.000 0.000 0.000
Ba2 Ba 0.206 0.500 0.386
Li1 Li 0.041 0.500 0.754
Ni1 Ni 0.320 0.000 0.765
Ni2 Ni 0.331 0.000 0.266
O1 O 0.177 0.000 0.463
O2 O 0.255 0.223 0.976
O3 O 0.402 0.211 0.564
O4 O 0.477 0.000 0.058
```

The 6 most intense peaks (2θ from 10° to 90°), by angle:
h k l  d (Å)  2θ/deg  I_rel
2 0 -1  4.103  21.66  66
1 1 1  3.311  26.93  66
3 1 0  2.942  30.39  100
0 2 0  2.876  31.10  59
2 2 -1  2.355  38.22  46
1 1 -2  2.321  38.81  45

# 4
Simulated X-ray diffraction stick pattern of MgMn6O12 for Cu Kα, from a crystal structure in the Materials Project, relaxed with GGA+U.
No peak broadening, texture or thermal motion is included.

Atomic structure:
```
data_MgMn6O12
_chemical_formula_sum 'Mg4 Mn24 O48'
_cell_length_a 9.894
_cell_length_b 5.808
_cell_length_c 14.493
_cell_angle_alpha 90.00
_cell_angle_beta 93.58
_cell_angle_gamma 90.00
_space_group_name_H-M_alt 'C 1 c 1'
_space_group_IT_number 9
_space_group_name_Hall 'C -2yc'
loop_
_atom_site_label
_atom_site_type_symbol
_atom_site_fract_x
_atom_site_fract_y
_atom_site_fract_z
Mg1 Mg 0.000 0.126 0.000
Mn1 Mn 0.230 0.127 0.346
Mn2 Mn 0.230 0.378 0.846
Mn3 Mn 0.233 0.376 0.526
Mn4 Mn 0.268 0.125 0.028
Mn5 Mn 0.481 0.125 0.698
Mn6 Mn 0.484 0.376 0.196
O1 O 0.082 0.124 0.254
O2 O 0.086 0.375 0.752
O3 O 0.135 0.375 0.409
O4 O 0.147 0.107 0.571
O5 O 0.147 0.126 0.913
O6 O 0.147 0.356 0.071
O7 O 0.324 0.125 0.795
O8 O 0.325 0.374 0.294
O9 O 0.346 0.142 0.464
O10 O 0.346 0.391 0.965
O11 O 0.396 0.375 0.621
O12 O 0.402 0.124 0.125
```

The 6 most intense peaks (2θ from 10° to 90°), by angle:
h k l  d (Å)  2θ/deg  I_rel
2 0 -2  4.202  21.15  100
2 0 2  3.964  22.43  52
2 0 -4  3.008  29.70  44
2 0 4  2.834  31.57  47
0 2 3  2.488  36.11  58
4 2 -3  1.781  51.29  65

# 5
Simulated X-ray diffraction stick pattern of TaCrO4 for Cu Kα, from a crystal structure in the Materials Project, relaxed with GGA+U.
No peak broadening, texture or thermal motion is included.

Atomic structure:
```
data_TaCrO4
_chemical_formula_sum 'Ta1 Cr1 O4'
_cell_length_a 4.679
_cell_length_b 3.094
_cell_length_c 4.679
_cell_angle_alpha 90.00
_cell_angle_beta 91.15
_cell_angle_gamma 90.00
_space_group_name_H-M_alt 'P 1 2/m 1'
_space_group_IT_number 10
_space_group_name_Hall '-P 2y'
loop_
_atom_site_label
_atom_site_type_symbol
_atom_site_fract_x
_atom_site_fract_y
_atom_site_fract_z
Ta1 Ta 0.000 0.000 0.000
Cr1 Cr 0.500 0.500 0.500
O1 O 0.194 0.500 0.806
O2 O 0.302 0.000 0.302
```

The 6 most intense peaks (2θ from 10° to 90°), by angle:
h k l  d (Å)  2θ/deg  I_rel
0 0 1  4.678  18.97  77
1 0 -1  3.341  26.68  66
1 0 1  3.275  27.23  62
1 1 0  2.580  34.77  100
1 1 -2  1.743  52.52  42
2 1 1  1.723  53.14  40

# 6
Simulated X-ray diffraction stick pattern of KCr2FeH2O8 for Cu Kα, from a crystal structure in the Materials Project, relaxed with GGA+U.
No peak broadening, texture or thermal motion is included.

Atomic structure:
```
data_KCr2FeH2O8
_chemical_formula_sum 'K2 Cr4 Fe2 H4 O16'
_cell_length_a 10.909
_cell_length_b 5.544
_cell_length_c 7.793
_cell_angle_alpha 90.00
_cell_angle_beta 114.37
_cell_angle_gamma 90.00
_space_group_name_H-M_alt 'C 1 2/m 1'
_space_group_IT_number 12
_space_group_name_Hall '-C 2y'
loop_
_atom_site_label
_atom_site_type_symbol
_atom_site_fract_x
_atom_site_fract_y
_atom_site_fract_z
K1 K 0.000 0.000 0.000
Cr1 Cr 0.106 0.500 0.782
Fe1 Fe 0.000 0.000 0.500
H1 H 0.175 0.000 0.576
O1 O 0.014 0.243 0.685
O2 O 0.144 0.500 0.007
O3 O 0.241 0.500 0.745
```

The 6 most intense peaks (2θ from 10° to 90°), by angle:
h k l  d (Å)  2θ/deg  I_rel
2 0 -1  5.202  17.05  100
2 0 0  4.969  17.85  75
1 1 1  3.671  24.24  77
1 1 -2  3.184  28.03  72
3 1 0  2.844  31.46  52
0 2 0  2.772  32.29  33

# 7
Simulated X-ray diffraction stick pattern of CsMnP6O18 for Cu Kα, from a crystal structure in the Materials Project, relaxed with GGA+U.
No peak broadening, texture or thermal motion is included.

Atomic structure:
```
data_CsMnP6O18
_chemical_formula_sum 'Cs1 Mn1 P6 O18'
_cell_length_a 5.332
_cell_length_b 9.090
_cell_length_c 9.398
_cell_angle_alpha 82.66
_cell_angle_beta 75.30
_cell_angle_gamma 74.44
_space_group_name_H-M_alt 'P -1'
_space_group_IT_number 2
_space_group_name_Hall '-P 1'
loop_
_atom_site_label
_atom_site_type_symbol
_atom_site_fract_x
_atom_site_fract_y
_atom_site_fract_z
Cs1 Cs 0.000 0.000 0.000
Mn1 Mn 0.500 0.000 0.500
P1 P 0.140 0.784 0.457
P2 P 0.250 0.239 0.256
P3 P 0.375 0.554 0.229
O1 O 0.033 0.727 0.625
O2 O 0.073 0.099 0.603
O3 O 0.203 0.624 0.383
O4 O 0.213 0.233 0.106
O5 O 0.259 0.630 0.100
O6 O 0.340 0.431 0.803
O7 O 0.363 0.382 0.273
O8 O 0.405 0.820 0.448
O9 O 0.442 0.101 0.312
```

The 6 most intense peaks (2θ from 10° to 90°), by angle:
h k l  d (Å)  2θ/deg  I_rel
1 1 1  4.874  18.20  56
0 1 2  4.135  21.49  52
1 0 -1  4.006  22.19  69
0 1 -2  3.925  22.66  69
1 -1 1  3.837  23.18  100
1 2 1  3.819  23.29  92

# 8
Simulated X-ray diffraction stick pattern of CaNdFeO4 for Cu Kα, from a crystal structure in the Materials Project, relaxed with GGA+U.
No peak broadening, texture or thermal motion is included.

Atomic structure:
```
data_CaNdFeO4
_chemical_formula_sum 'Ca4 Nd4 Fe4 O16'
_cell_length_a 5.461
_cell_length_b 12.000
_cell_length_c 5.669
_cell_angle_alpha 90.00
_cell_angle_beta 90.00
_cell_angle_gamma 90.00
_space_group_name_H-M_alt 'C m c 21'
_space_group_IT_number 36
_space_group_name_Hall 'C 2c -2'
loop_
_atom_site_label
_atom_site_type_symbol
_atom_site_fract_x
_atom_site_fract_y
_atom_site_fract_z
Ca1 Ca 0.000 0.104 0.000
Nd1 Nd 0.000 0.389 0.961
Fe1 Fe 0.000 0.247 0.477
O1 O 0.000 0.080 0.411
O2 O 0.000 0.425 0.551
O3 O 0.249 0.228 0.731
```

The 6 most intense peaks (2θ from 10° to 90°), by angle:
h k l  d (Å)  2θ/deg  I_rel
1 1 0  4.971  17.84  31
0 2 1  4.121  21.57  39
0 0 2  2.835  31.56  37
1 3 1  2.804  31.91  100
2 0 0  2.731  32.80  38
2 0 2  1.967  46.16  40

# 9
Simulated X-ray diffraction stick pattern of Li4Co3NiO8 for Cu Kα, from a crystal structure in the Materials Project, relaxed with GGA+U.
No peak broadening, texture or thermal motion is included.

Atomic structure:
```
data_Li4Co3NiO8
_chemical_formula_sum 'Li8 Co6 Ni2 O16'
_cell_length_a 5.852
_cell_length_b 5.858
_cell_length_c 8.190
_cell_angle_alpha 90.27
_cell_angle_beta 90.40
_cell_angle_gamma 91.03
_space_group_name_H-M_alt 'P 1'
_space_group_IT_number 1
_space_group_name_Hall 'P 1'
loop_
_atom_site_label
_atom_site_type_symbol
_atom_site_fract_x
_atom_site_fract_y
_atom_site_fract_z
Li1 Li 0.000 0.000 0.000
Li2 Li 0.000 0.498 0.998
Li3 Li 0.249 0.257 0.246
Li4 Li 0.252 0.748 0.248
Li5 Li 0.497 0.499 0.500
Li6 Li 0.500 0.998 0.504
Li7 Li 0.744 0.252 0.752
Li8 Li 0.744 0.745 0.754
Co1 Co 0.253 0.257 0.754
Co2 Co 0.499 0.499 0.002
Co3 Co 0.500 0.997 0.999
Co4 Co 0.749 0.743 0.249
Co5 Co 0.996 0.502 0.499
Co6 Co 0.998 0.002 0.503
Ni1 Ni 0.250 0.750 0.749
Ni2 Ni 0.749 0.246 0.249
O1 O 0.001 0.496 0.728
O2 O 0.012 0.014 0.738
O3 O 0.223 0.738 0.499
O4 O 0.228 0.267 0.497
O5 O 0.254 0.266 0.002
O6 O 0.283 0.749 0.998
O7 O 0.484 0.492 0.764
O8 O 0.490 0.007 0.761
O9 O 0.522 0.513 0.237
O10 O 0.525 0.973 0.240
O11 O 0.715 0.248 0.004
O12 O 0.746 0.729 0.015
O13 O 0.763 0.737 0.488
O14 O 0.771 0.263 0.496
O15 O 0.979 0.517 0.266
O16 O 0.980 0.979 0.259
```

The 6 most intense peaks (2θ from 10° to 90°), by angle:
h k l  d (Å)  2θ/deg  I_rel
1 0 -1  4.777  18.57  100
1 -2 1  2.512  35.75  15
1 0 3  2.470  36.37  27
2 -2 0  2.089  43.32  25
0 0 4  2.049  44.19  47
0 4 0  1.463  63.58  20

# 10
Simulated X-ray diffraction stick pattern of Li4Fe3Ni3O12 for Cu Kα, from a crystal structure in the Materials Project, relaxed with GGA+U.
No peak broadening, texture or thermal motion is included.

Atomic structure:
```
data_Li4Fe3Ni3O12
_chemical_formula_sum 'Li4 Fe3 Ni3 O12'
_cell_length_a 5.910
_cell_length_b 5.957
_cell_length_c 6.583
_cell_angle_alpha 103.43
_cell_angle_beta 102.73
_cell_angle_gamma 90.69
_space_group_name_H-M_alt 'P -1'
_space_group_IT_number 2
_space_group_name_Hall '-P 1'
loop_
_atom_site_label
_atom_site_type_symbol
_atom_site_fract_x
_atom_site_fract_y
_atom_site_fract_z
Li1 Li 0.000 0.000 0.000
Li2 Li 0.172 0.661 0.660
Li3 Li 0.500 0.000 0.000
Fe1 Fe 0.166 0.169 0.665
Fe2 Fe 0.500 0.500 0.000
Ni1 Ni 0.000 0.500 0.000
Ni2 Ni 0.335 0.830 0.336
O1 O 0.063 0.612 0.329
O2 O 0.069 0.066 0.345
O3 O 0.241 0.244 0.975
O4 O 0.265 0.726 0.011
O5 O 0.396 0.948 0.658
O6 O 0.403 0.405 0.688
```

The 6 most intense peaks (2θ from 10° to 90°), by angle:
h k l  d (Å)  2θ/deg  I_rel
0 1 -1  4.862  18.25  100
2 1 0  2.509  35.78  14
0 1 2  2.503  35.88  13
2 -2 0  2.110  42.86  22
2 2 -1  2.085  43.40  21
0 0 3  2.077  43.57  21

# 11
Simulated X-ray diffraction stick pattern of Tm2MgCr2O8 for Cu Kα, from a crystal structure in the Materials Project, relaxed with GGA+U.
No peak broadening, texture or thermal motion is included.

Atomic structure:
```
data_Tm2MgCr2O8
_chemical_formula_sum 'Tm4 Mg2 Cr4 O16'
_cell_length_a 6.337
_cell_length_b 10.205
_cell_length_c 6.138
_cell_angle_alpha 90.00
_cell_angle_beta 120.96
_cell_angle_gamma 90.00
_space_group_name_H-M_alt 'C 1 2 1'
_space_group_IT_number 5
_space_group_name_Hall 'C 2y'
loop_
_atom_site_label
_atom_site_type_symbol
_atom_site_fract_x
_atom_site_fract_y
_atom_site_fract_z
Tm1 Tm 0.000 0.000 0.000
Tm2 Tm 0.000 0.281 0.500
Mg1 Mg 0.000 0.993 0.500
Cr1 Cr 0.000 0.503 0.000
Cr2 Cr 0.000 0.725 0.500
O1 O 0.091 0.850 0.341
O2 O 0.104 0.413 0.823
O3 O 0.215 0.143 0.332
O4 O 0.221 0.095 0.804
```

The 6 most intense peaks (2θ from 10° to 90°), by angle:
h k l  d (Å)  2θ/deg  I_rel
1 1 -1  4.793  18.51  50
0 2 1  3.664  24.30  100
2 0 0  2.715  33.00  45
2 2 -1  2.692  33.29  35
2 2 1  1.882  48.37  30
2 4 -2  1.859  49.00  32